# 1
SiHgMo: computed X-ray powder pattern (Cu Kα), based on a DFT-relaxed cell (GGA-PBE, Alexandria).
Peak positions follow from Bragg's law for the DFT cell and can differ from measured ones.

Cell lengths 2.868, 4.072, 9.354 Å; angles 90.00, 90.00, 90.00 degrees
Sites, in units of the cell vectors:
Si 0.250 0.250 0.158
Si 0.750 0.750 0.842
Hg 0.250 0.750 0.400
Hg 0.750 0.250 0.600
Mo 0.250 0.250 0.890
Mo 0.750 0.750 0.110

Top 10 peaks for 15 to 90 degrees two-theta, sorted by position:
d/Å	I_rel
3.733	70
3.071	25
2.476	74
2.445	65
2.339	31
2.275	100
2.036	30
1.874	19
1.565	33
1.462	32

---

# 2
Mg8Cd6Pb: computed X-ray powder pattern (Cu Kα), based on a DFT-relaxed cell (GGA-PBE, Alexandria).
Peak positions follow from Bragg's law for the DFT cell and can differ from measured ones.

Cell lengths 7.671, 7.671, 7.671 Å; angles 67.82, 67.82, 67.82 degrees
Sites, in units of the cell vectors:
Mg 0.069 0.381 0.704
Mg 0.167 0.167 0.167
Mg 0.296 0.931 0.619
Mg 0.381 0.704 0.069
Mg 0.619 0.296 0.931
Mg 0.704 0.069 0.381
Mg 0.833 0.833 0.833
Mg 0.931 0.619 0.296
Cd 0.093 0.796 0.446
Cd 0.204 0.554 0.907
Cd 0.446 0.093 0.796
Cd 0.554 0.907 0.204
Cd 0.796 0.446 0.093
Cd 0.907 0.204 0.554
Pb 0.500 0.500 0.500

Top 10 peaks for 15 to 90 degrees two-theta, sorted by position:
d/Å	I_rel
5.867	66
3.458	75
2.471	100
2.420	100
2.277	36
2.010	16
1.779	18
1.729	35
1.417	33
1.387	23

---

# 3
Al2GaP3O12: computed X-ray powder pattern (Cu Kα), based on a DFT-relaxed cell (GGA-PBE, Alexandria).
Peak positions follow from Bragg's law for the DFT cell and can differ from measured ones.

Cell lengths 5.040, 5.040, 11.170 Å; angles 90.56, 90.56, 60.10 degrees
Sites, in units of the cell vectors:
Al 0.234 0.234 0.332
Al 0.766 0.766 0.668
Ga 0.704 0.296 0.000
P 0.229 0.236 0.833
P 0.709 0.291 0.500
P 0.764 0.771 0.167
O 0.063 0.510 0.220
O 0.104 0.483 0.735
O 0.340 0.351 0.940
O 0.405 0.347 0.444
O 0.490 0.937 0.780
O 0.517 0.896 0.265
O 0.649 0.660 0.060
O 0.653 0.595 0.556
O 0.819 0.045 0.598
O 0.832 0.023 0.125
O 0.955 0.181 0.402
O 0.977 0.168 0.875

Top 10 peaks for 15 to 90 degrees two-theta, sorted by position:
d/Å	I_rel
4.369	41
3.452	100
3.424	75
2.520	13
2.347	10
2.183	14
1.880	9
1.872	10
1.586	10
1.413	10